Entry 1:
This entry pairs a crystal structure of Li4AlAg2Bi with its computed X-ray powder pattern. Radiation: λ = 1.5418 Å (Cu Kα). Structure: a cell relaxed with PBE.

Cell and atoms:
a b c (Å): 4.5335 4.5335 6.7051
angles (deg): 90.00 90.00 90.00
Positions (direct):
Li  0.0000  0.0000  0.0000
Li  0.0000  0.5000  0.2344
Li  0.5000  0.0000  0.7656
Li  0.5000  0.5000  0.5000
Al  0.5000  0.5000  0.0000
Ag  0.0000  0.5000  0.7872
Ag  0.5000  0.0000  0.2128
Bi  0.0000  0.0000  0.5000

Top 8 peaks for 10° ≤ 2θ ≤ 90°, by angle:
two_theta, I (rel.)
19.6, 257
23.7, 1000
30.9, 295
33.2, 191
38.9, 612
39.8, 319
46.8, 324
71.6, 200

***

Entry 2:
This entry pairs a crystal structure of AlAgBr6 with its computed X-ray powder pattern. Radiation: λ = 1.5418 Å (Cu Kα). Structure: a cell relaxed with PBE.

Cell and atoms:
a b c (Å): 7.0654 7.0654 7.0654
angles (deg): 60.00 60.00 60.00
Positions (direct):
Al  0.0000  0.0000  0.0000
Ag  0.7500  0.7500  0.7500
Br  0.2461  0.2461  0.7539
Br  0.2461  0.7539  0.2461
Br  0.2461  0.7539  0.7539
Br  0.7539  0.2461  0.2461
Br  0.7539  0.2461  0.7539
Br  0.7539  0.7539  0.2461

Top 8 peaks for 10° ≤ 2θ ≤ 90°, by angle:
two_theta, I (rel.)
15.4, 236
31.0, 1000
36.0, 597
51.8, 406
61.6, 397
64.6, 137
84.5, 166
87.3, 185

***

Entry 3:
This entry pairs a crystal structure of AlAgBr3Cl with its computed X-ray powder pattern. Radiation: λ = 1.5418 Å (Cu Kα). Structure: a cell relaxed with PBE.

Cell and atoms:
a b c (Å): 6.1481 6.1849 6.8657
angles (deg): 116.75 115.66 90.22
Positions (direct):
Al  0.0000  0.0000  0.0000
Ag  0.2492  0.7550  0.5030
Br  0.3569  0.3282  0.2432
Br  0.6747  0.1195  0.7633
Br  0.8811  0.9168  0.2446
Cl  0.0809  0.6708  0.7685

Top 8 peaks for 10° ≤ 2θ ≤ 90°, by angle:
two_theta, I (rel.)
16.5, 707
16.7, 388
26.2, 1000
26.5, 988
33.4, 331
33.5, 277
41.5, 258
44.8, 522

***

Entry 4:
This entry pairs a crystal structure of AlIn2AgBr6 with its computed X-ray powder pattern. Radiation: λ = 1.5418 Å (Cu Kα). Structure: a cell relaxed with PBE.

Cell and atoms:
a b c (Å): 7.5160 7.5160 7.5160
angles (deg): 60.00 60.00 60.00
Positions (direct):
Al  0.0000  0.0000  0.0000
In  0.2500  0.2500  0.2500
In  0.7500  0.7500  0.7500
Ag  0.5000  0.5000  0.5000
Br  0.2369  0.2369  0.7631
Br  0.2369  0.7631  0.2369
Br  0.2369  0.7631  0.7631
Br  0.7631  0.2369  0.2369
Br  0.7631  0.2369  0.7631
Br  0.7631  0.7631  0.2369

Top 8 peaks for 10° ≤ 2θ ≤ 90°, by angle:
two_theta, I (rel.)
23.7, 309
29.1, 906
33.7, 1000
48.4, 686
57.5, 359
60.3, 228
78.4, 137
80.9, 283

***

Entry 5:
This entry pairs a crystal structure of Rb2AlAgBr6 with its computed X-ray powder pattern. Radiation: λ = 1.5418 Å (Cu Kα). Structure: a cell relaxed with PBE.

Cell and atoms:
a b c (Å): 17.4910 8.0191 12.6481
angles (deg): 90.00 90.00 90.00
Positions (direct):
Rb  0.0883  0.2500  0.1856
Rb  0.1442  0.2500  0.7271
Rb  0.3558  0.7500  0.2271
Rb  0.4117  0.7500  0.6856
Rb  0.5883  0.2500  0.3144
Rb  0.6442  0.2500  0.7729
Rb  0.8558  0.7500  0.2729
Rb  0.9117  0.7500  0.8144
Al  0.1892  0.7500  0.8929
Al  0.3108  0.2500  0.3929
Al  0.6892  0.7500  0.6071
Al  0.8108  0.2500  0.1071
Ag  0.0115  0.7500  0.5104
Ag  0.4885  0.2500  0.0104
Ag  0.5115  0.7500  0.9896
Ag  0.9885  0.2500  0.4896
Br  0.0025  0.5101  0.3488
Br  0.0025  0.9899  0.3488
Br  0.1195  0.5165  0.9478
Br  0.1195  0.9835  0.9478
Br  0.1893  0.2500  0.4639
Br  0.2041  0.7500  0.7099
Br  0.2959  0.2500  0.2099
Br  0.3107  0.7500  0.9639
Br  0.3805  0.0165  0.4478
Br  0.3805  0.4835  0.4478
Br  0.4975  0.0101  0.8488
Br  0.4975  0.4899  0.8488
Br  0.5025  0.5101  0.1512
Br  0.5025  0.9899  0.1512
Br  0.6195  0.5165  0.5522
Br  0.6195  0.9835  0.5522
Br  0.6893  0.2500  0.0361
Br  0.7041  0.7500  0.7901
Br  0.7959  0.2500  0.2901
Br  0.8107  0.7500  0.5361
Br  0.8805  0.0165  0.0522
Br  0.8805  0.4835  0.0522
Br  0.9975  0.0101  0.6512
Br  0.9975  0.4899  0.6512

Top 8 peaks for 10° ≤ 2θ ≤ 90°, by angle:
two_theta, I (rel.)
10.1, 497
16.7, 714
24.4, 362
26.4, 864
28.7, 485
31.2, 1000
33.5, 728
53.1, 384

***

Entry 6:
This entry pairs a crystal structure of Rb2AlAgBr6 with its computed X-ray powder pattern. Radiation: λ = 1.5418 Å (Cu Kα). Structure: a cell relaxed with PBE.

Cell and atoms:
a b c (Å): 7.5117 7.5117 7.5117
angles (deg): 61.40 61.40 61.40
Positions (direct):
Rb  0.2502  0.2502  0.2502
Rb  0.7498  0.7498  0.7498
Al  0.0000  0.0000  0.0000
Ag  0.5000  0.5000  0.5000
Br  0.1832  0.7698  0.2858
Br  0.2302  0.7142  0.8168
Br  0.2858  0.1832  0.7698
Br  0.7142  0.8168  0.2302
Br  0.7698  0.2858  0.1832
Br  0.8168  0.2302  0.7142

Top 8 peaks for 10° ≤ 2θ ≤ 90°, by angle:
two_theta, I (rel.)
16.5, 155
27.5, 313
28.6, 581
29.4, 241
33.4, 1000
36.1, 187
47.4, 244
48.5, 336

***

Entry 7:
This entry pairs a crystal structure of AlTl2AgBr6 with its computed X-ray powder pattern. Radiation: λ = 1.5418 Å (Cu Kα). Structure: a cell relaxed with PBE.

Cell and atoms:
a b c (Å): 7.5292 7.5292 7.5292
angles (deg): 60.00 60.00 60.00
Positions (direct):
Al  0.0000  0.0000  0.0000
Tl  0.2500  0.2500  0.2500
Tl  0.7500  0.7500  0.7500
Ag  0.5000  0.5000  0.5000
Br  0.2367  0.2367  0.7633
Br  0.2367  0.7633  0.2367
Br  0.2367  0.7633  0.7633
Br  0.7633  0.2367  0.2367
Br  0.7633  0.2367  0.7633
Br  0.7633  0.7633  0.2367

Top 8 peaks for 10° ≤ 2θ ≤ 90°, by angle:
two_theta, I (rel.)
23.6, 638
29.1, 1000
33.7, 958
41.5, 284
48.4, 672
57.4, 420
60.2, 227
80.7, 287

***

Entry 8:
This entry pairs a crystal structure of AlCdAg2 with its computed X-ray powder pattern. Radiation: λ = 1.5418 Å (Cu Kα). Structure: a cell relaxed with PBE.

Cell and atoms:
a b c (Å): 4.6928 4.6928 4.6928
angles (deg): 60.00 60.00 60.00
Positions (direct):
Al  0.0000  0.0000  0.0000
Cd  0.2500  0.2500  0.2500
Ag  0.5000  0.5000  0.5000
Ag  0.7500  0.7500  0.7500

Top 8 peaks for 10° ≤ 2θ ≤ 90°, by angle:
two_theta, I (rel.)
23.2, 133
26.9, 74
38.4, 1000
45.3, 66
55.4, 164
60.8, 26
69.4, 324
82.2, 102

***

Entry 9:
This entry pairs a crystal structure of Ho3Mg3AlCdAg with its computed X-ray powder pattern. Radiation: λ = 1.5418 Å (Cu Kα). Structure: a cell relaxed with PBE.

Cell and atoms:
a b c (Å): 7.5606 7.5606 4.3393
angles (deg): 90.00 90.00 120.00
Positions (direct):
Ho  0.0867  0.3444  0.0000
Ho  0.2577  0.9133  0.0000
Ho  0.6556  0.7423  0.0000
Mg  0.4242  0.3351  0.5000
Mg  0.6649  0.0891  0.5000
Mg  0.9109  0.5758  0.5000
Al  0.3333  0.6667  0.5000
Cd  0.0000  0.0000  0.5000
Ag  0.6667  0.3333  0.0000

Top 8 peaks for 10° ≤ 2θ ≤ 90°, by angle:
two_theta, I (rel.)
20.5, 309
23.5, 316
27.2, 383
31.4, 773
34.3, 1000
36.3, 280
41.6, 234
54.8, 302

***

Entry 10:
This entry pairs a crystal structure of ErTm2Al3CuAg2 with its computed X-ray powder pattern. Radiation: λ = 1.5418 Å (Cu Kα). Structure: a cell relaxed with PBE.

Cell and atoms:
a b c (Å): 4.0664 7.1783 7.1783
angles (deg): 120.08 90.00 90.00
Positions (direct):
Er  0.0000  0.0000  0.0000
Tm  0.0000  0.4038  0.8066
Tm  0.0000  0.8066  0.4038
Al  0.5000  0.1745  0.4038
Al  0.5000  0.4038  0.1745
Al  0.5000  0.6334  0.6334
Cu  0.0000  0.4047  0.4047
Ag  0.5000  0.0710  0.7362
Ag  0.5000  0.7362  0.0710

Top 8 peaks for 10° ≤ 2θ ≤ 90°, by angle:
two_theta, I (rel.)
24.8, 352
33.3, 1000
36.4, 675
38.3, 224
43.7, 254
44.6, 387
58.1, 218
69.9, 225

***

Entry 11:
This entry pairs a crystal structure of AlCuAgIr with its computed X-ray powder pattern. Radiation: λ = 1.5418 Å (Cu Kα). Structure: a cell relaxed with PBE.

Cell and atoms:
a b c (Å): 4.3683 4.3683 4.3683
angles (deg): 60.00 60.00 60.00
Positions (direct):
Al  0.0000  0.0000  0.0000
Cu  0.2500  0.2500  0.2500
Ag  0.5000  0.5000  0.5000
Ir  0.7500  0.7500  0.7500

Top 8 peaks for 10° ≤ 2θ ≤ 90°, by angle:
two_theta, I (rel.)
25.0, 340
28.9, 114
41.3, 1000
48.9, 172
59.9, 164
65.9, 72
75.4, 329
89.8, 109